Computed X-ray diffraction stick pattern
Compound: KCrPCO7
Radiation: λ = 1.5418 Å (Cu Kα)
Structure: a DFT-relaxed cell (GGA+U, Alexandria)

Top 10 peaks for 10° ≤ 2θ ≤ 80°, low angle first:
(0 1 1), 2θ 16.5, intensity 72
(1 0 1), 2θ 19.2, intensity 43
(1 1 0), 2θ 22.1, intensity 90
(1 0 -2), 2θ 23.6, intensity 99
(1 0 2), 2θ 24.4, intensity 33
(1 1 2), 2θ 28.3, intensity 50
(0 2 0), 2θ 28.5, intensity 100
(1 0 -3), 2θ 30.3, intensity 29
(2 0 0), 2θ 34.2, intensity 34
(0 3 1), 2θ 44.3, intensity 31

Crystal structure
```
data_KCrPCO7
_chemical_formula_sum 'K2 Cr2 P2 C2 O14'
_cell_length_a 5.242
_cell_length_b 6.258
_cell_length_c 10.504
_cell_angle_alpha 90.06
_cell_angle_beta 91.84
_cell_angle_gamma 90.02
_space_group_name_H-M_alt 'P 1'
_space_group_IT_number 1
_space_group_name_Hall 'P 1'
loop_
_atom_site_label
_atom_site_type_symbol
_atom_site_fract_x
_atom_site_fract_y
_atom_site_fract_z
K1 K 0.000 0.000 0.000
K2 K 0.469 0.500 0.592
Cr1 Cr 0.018 0.888 0.435
Cr2 Cr 0.451 0.388 0.156
P1 P 0.514 0.884 0.238
P2 P 0.955 0.384 0.353
C1 C 0.532 0.374 0.933
C2 C 0.938 0.874 0.659
O1 O 0.016 0.191 0.443
O2 O 0.020 0.578 0.441
O3 O 0.123 0.380 0.236
O4 O 0.169 0.881 0.611
O5 O 0.301 0.380 0.981
O6 O 0.346 0.881 0.356
O7 O 0.450 0.077 0.150
O8 O 0.453 0.690 0.149
O9 O 0.583 0.363 0.820
O10 O 0.669 0.387 0.315
O11 O 0.709 0.377 0.030
O12 O 0.761 0.876 0.562
O13 O 0.800 0.887 0.276
O14 O 0.886 0.863 0.772
```